Diffraction record for Ni3Ru2. The powder X-ray diffraction pattern is computed, not measured: it uses a cell relaxed with PBE and Cu Kα (weighted mean of Kα1 and Kα2).

Principal peaks in the range 5° ≤ 2θ ≤ 70°, low angle first:
- 2θ = 8.47°, 10.437 Å, rel. 3
- 2θ = 16.99°, 5.218 Å, rel. 8
- 2θ = 25.61°, 3.479 Å, rel. 3
- 2θ = 34.37°, 2.609 Å, rel. 1
- 2θ = 39.93°, 2.258 Å, rel. 3
- 2θ = 41.52°, 2.175 Å, rel. 3
- 2θ = 42.46°, 2.129 Å, rel. 100
- 2θ = 43.35°, 2.087 Å, rel. 31
- 2θ = 44.87°, 2.020 Å, rel. 1
- 2θ = 49.70°, 1.835 Å, rel. 62
- 2θ = 51.58°, 1.772 Å, rel. 1
- 2θ = 57.97°, 1.591 Å, rel. 1

Atomic structure:
```
5
Lattice="1.307 0.755 10.437 -1.307 0.755 10.437 0.000 -1.509 10.437" Properties=species:S:1:pos:R:3 pbc="T T T"
Ni 0.000 0.000 0.000
Ni 0.000 0.000 6.222
Ni 0.000 0.000 25.088
Ru 0.000 0.000 12.558
Ru 0.000 0.000 18.752
```



Diffraction record for Ni3Ru. The powder X-ray diffraction pattern is computed, not measured: it uses a cell relaxed with PBE and Cu Kα (weighted mean of Kα1 and Kα2).

Principal peaks in the range 5° ≤ 2θ ≤ 70°, low angle first:
- 2θ = 26.85°, 3.320 Å, rel. 4
- 2θ = 31.10°, 2.876 Å, rel. 2
- 2θ = 44.56°, 2.033 Å, rel. 100
- 2θ = 52.79°, 1.734 Å, rel. 2
- 2θ = 55.34°, 1.660 Å, rel. 1
- 2θ = 64.85°, 1.438 Å, rel. 15

Atomic structure:
```
4
Lattice="0.000 2.876 2.876 2.876 0.000 2.876 2.876 2.876 0.000" Properties=species:S:1:pos:R:3 pbc="T T T"
Ni 0.000 0.000 0.000
Ni 1.438 1.438 1.438
Ni 4.313 4.313 4.313
Ru 2.876 2.876 2.876
```



Diffraction record for Ni3Ru. The powder X-ray diffraction pattern is computed, not measured: it uses a cell relaxed with PBE and Cu Kα (weighted mean of Kα1 and Kα2).

Principal peaks in the range 5° ≤ 2θ ≤ 70°, low angle first:
- 2θ = 12.59°, 7.032 Å, rel. 6
- 2θ = 25.33°, 3.516 Å, rel. 2
- 2θ = 34.74°, 2.582 Å, rel. 2
- 2θ = 37.09°, 2.424 Å, rel. 4
- 2θ = 38.40°, 2.344 Å, rel. 1
- 2θ = 43.48°, 2.081 Å, rel. 100
- 2θ = 49.95°, 1.826 Å, rel. 33
- 2θ = 51.73°, 1.767 Å, rel. 1
- 2θ = 52.02°, 1.758 Å, rel. 14
- 2θ = 56.82°, 1.620 Å, rel. 1
- 2θ = 64.08°, 1.453 Å, rel. 1
- 2θ = 64.71°, 1.440 Å, rel. 1

Atomic structure:
```
4
Lattice="2.582 0.000 0.000 0.000 2.582 0.000 0.000 0.000 7.032" Properties=species:S:1:pos:R:3 pbc="T T T"
Ni 0.000 0.000 0.000
Ni 1.291 1.291 1.701
Ni 1.291 1.291 5.332
Ru 0.000 0.000 3.516
```



Diffraction record for Sc4NiRu3. The powder X-ray diffraction pattern is computed, not measured: it uses a cell relaxed with PBE and Cu Kα (weighted mean of Kα1 and Kα2).

Principal peaks in the range 5° ≤ 2θ ≤ 70°, low angle first:
- 2θ = 13.85°, 6.396 Å, rel. 1
- 2θ = 19.58°, 4.534 Å, rel. 1
- 2θ = 24.06°, 3.699 Å, rel. 1
- 2θ = 27.85°, 3.204 Å, rel. 16
- 2θ = 31.20°, 2.866 Å, rel. 1
- 2θ = 39.79°, 2.265 Å, rel. 100
- 2θ = 47.04°, 1.932 Å, rel. 1
- 2θ = 49.27°, 1.850 Å, rel. 5
- 2θ = 57.48°, 1.603 Å, rel. 11
- 2θ = 57.65°, 1.599 Å, rel. 5
- 2θ = 65.06°, 1.434 Å, rel. 4
- 2θ = 65.20°, 1.431 Å, rel. 2

Atomic structure:
```
8
Lattice="4.534 0.000 0.000 0.000 4.534 0.000 0.000 0.000 6.396" Properties=species:S:1:pos:R:3 pbc="T T T"
Sc 0.000 2.267 1.580
Sc 0.000 2.267 4.816
Sc 2.267 0.000 1.580
Sc 2.267 0.000 4.816
Ni 0.000 0.000 3.198
Ru 0.000 0.000 0.000
Ru 2.267 2.267 0.000
Ru 2.267 2.267 3.198
```



Diffraction record for Sc6NiRu5. The powder X-ray diffraction pattern is computed, not measured: it uses a cell relaxed with PBE and Cu Kα (weighted mean of Kα1 and Kα2).

Principal peaks in the range 5° ≤ 2θ ≤ 70°, low angle first:
- 2θ = 15.26°, 5.805 Å, rel. 1
- 2θ = 24.02°, 3.705 Å, rel. 1
- 2θ = 27.81°, 3.208 Å, rel. 18
- 2θ = 39.73°, 2.269 Å, rel. 100
- 2θ = 49.19°, 1.852 Å, rel. 5
- 2θ = 57.41°, 1.605 Å, rel. 11
- 2θ = 57.51°, 1.602 Å, rel. 5
- 2θ = 64.96°, 1.436 Å, rel. 3
- 2θ = 65.03°, 1.434 Å, rel. 4

Atomic structure:
```
12
Lattice="7.165 -3.209 0.000 7.165 3.209 0.000 -1.430 0.000 4.308" Properties=species:S:1:pos:R:3 pbc="T T T"
Sc 4.281 1.616 1.429
Sc 7.165 1.623 0.000
Sc 8.620 1.616 2.879
Sc 4.281 -1.616 1.429
Sc 7.165 -1.623 0.000
Sc 8.620 -1.616 2.879
Ni 6.450 0.000 2.154
Ru -0.715 0.000 2.154
Ru 2.146 0.000 0.717
Ru 3.617 0.000 3.600
Ru 9.283 0.000 0.708
Ru 10.754 0.000 3.591
```



Diffraction record for ScNi2Ru. The powder X-ray diffraction pattern is computed, not measured: it uses a cell relaxed with PBE and Cu Kα (weighted mean of Kα1 and Kα2).

Principal peaks in the range 5° ≤ 2θ ≤ 70°, low angle first:
- 2θ = 20.59°, 4.313 Å, rel. 26
- 2θ = 38.54°, 2.336 Å, rel. 11
- 2θ = 40.56°, 2.224 Å, rel. 5
- 2θ = 40.72°, 2.216 Å, rel. 100
- 2θ = 41.89°, 2.157 Å, rel. 92
- 2θ = 47.26°, 1.923 Å, rel. 64
- 2θ = 49.67°, 1.835 Å, rel. 27
- 2θ = 52.72°, 1.736 Å, rel. 4
- 2θ = 53.03°, 1.727 Å, rel. 2
- 2θ = 63.42°, 1.467 Å, rel. 3
- 2θ = 64.85°, 1.438 Å, rel. 1
- 2θ = 67.40°, 1.389 Å, rel. 10

Atomic structure:
```
4
Lattice="2.665 -3.671 0.000 2.665 3.671 0.000 0.000 0.000 2.779" Properties=species:S:1:pos:R:3 pbc="T T T"
Sc 0.000 0.000 0.000
Ni 1.332 1.835 1.389
Ni 1.332 -1.835 1.389
Ru 2.665 0.000 0.000
```



Diffraction record for NiRu2Se. The powder X-ray diffraction pattern is computed, not measured: it uses a cell relaxed with PBE and Cu Kα (weighted mean of Kα1 and Kα2).

Principal peaks in the range 5° ≤ 2θ ≤ 70°, low angle first:
- 2θ = 16.99°, 5.220 Å, rel. 5
- 2θ = 29.09°, 3.070 Å, rel. 8
- 2θ = 32.48°, 2.757 Å, rel. 15
- 2θ = 40.44°, 2.231 Å, rel. 100
- 2θ = 40.86°, 2.209 Å, rel. 29
- 2θ = 42.01°, 2.151 Å, rel. 86
- 2θ = 47.63°, 1.909 Å, rel. 18
- 2θ = 47.93°, 1.898 Å, rel. 32
- 2θ = 54.42°, 1.686 Å, rel. 28
- 2θ = 59.10°, 1.563 Å, rel. 5
- 2θ = 64.76°, 1.439 Å, rel. 14
- 2θ = 65.29°, 1.429 Å, rel. 12

Atomic structure:
```
4
Lattice="3.796 0.000 0.000 0.000 1.429 5.220 0.000 -1.429 5.220" Properties=species:S:1:pos:R:3 pbc="T T T"
Ni 0.000 0.000 0.000
Ru 0.000 0.000 2.606
Ru 1.898 0.000 6.644
Se 1.898 0.000 4.238
```



Diffraction record for Si3NiRu3. The powder X-ray diffraction pattern is computed, not measured: it uses a cell relaxed with PBE and Cu Kα (weighted mean of Kα1 and Kα2).

Principal peaks in the range 5° ≤ 2θ ≤ 70°, low angle first:
- 2θ = 24.35°, 3.656 Å, rel. 53
- 2θ = 28.28°, 3.156 Å, rel. 35
- 2θ = 34.98°, 2.565 Å, rel. 26
- 2θ = 38.36°, 2.346 Å, rel. 49
- 2θ = 39.58°, 2.277 Å, rel. 36
- 2θ = 39.78°, 2.266 Å, rel. 30
- 2θ = 40.58°, 2.223 Å, rel. 100
- 2θ = 42.24°, 2.140 Å, rel. 31
- 2θ = 42.47°, 2.128 Å, rel. 39
- 2θ = 42.83°, 2.111 Å, rel. 47
- 2θ = 44.81°, 2.023 Å, rel. 45
- 2θ = 63.97°, 1.455 Å, rel. 27

Atomic structure:
```
28
Lattice="11.652 0.000 0.000 0.000 2.911 0.000 0.000 0.000 10.824" Properties=species:S:1:pos:R:3 pbc="T T T"
Si 0.470 0.728 1.514
Si 1.629 0.728 6.232
Si 2.479 2.183 4.033
Si 3.347 0.728 9.445
Si 4.197 2.183 0.820
Si 5.356 2.183 6.926
Si 6.296 0.728 3.898
Si 7.455 0.728 10.003
Si 8.305 2.183 1.379
Si 9.174 0.728 6.791
Si 10.024 2.183 4.592
Si 11.182 2.183 9.310
Ni 1.064 0.728 8.509
Ni 4.763 2.183 3.097
Ni 6.890 0.728 7.727
Ni 10.589 2.183 2.315
Ru 0.425 0.728 4.163
Ru 1.689 2.183 10.642
Ru 2.735 0.728 2.066
Ru 3.091 2.183 7.478
Ru 4.137 0.728 5.231
Ru 5.401 2.183 9.575
Ru 6.251 0.728 1.249
Ru 7.515 2.183 5.593
Ru 8.561 0.728 3.346
Ru 8.918 2.183 8.758
Ru 9.963 0.728 0.181
Ru 11.227 2.183 6.661
```



Diffraction record for ThSi2NiRu2. The powder X-ray diffraction pattern is computed, not measured: it uses a cell relaxed with PBE and Cu Kα (weighted mean of Kα1 and Kα2).

Principal peaks in the range 5° ≤ 2θ ≤ 70°, low angle first:
- 2θ = 16.43°, 5.396 Å, rel. 9
- 2θ = 20.48°, 4.337 Å, rel. 6
- 2θ = 26.37°, 3.380 Å, rel. 25
- 2θ = 29.12°, 3.067 Å, rel. 88
- 2θ = 33.62°, 2.666 Å, rel. 32
- 2θ = 39.33°, 2.291 Å, rel. 100
- 2θ = 41.65°, 2.168 Å, rel. 53
- 2θ = 49.97°, 1.825 Å, rel. 9
- 2θ = 55.30°, 1.661 Å, rel. 6
- 2θ = 58.62°, 1.575 Å, rel. 62
- 2θ = 60.37°, 1.533 Å, rel. 18
- 2θ = 68.41°, 1.371 Å, rel. 15

Atomic structure:
```
6
Lattice="4.337 0.000 0.000 0.000 4.337 0.000 0.000 0.000 5.396" Properties=species:S:1:pos:R:3 pbc="T T T"
Th 0.000 0.000 0.000
Si 0.000 2.168 2.698
Si 2.168 0.000 2.698
Ni 0.000 0.000 2.698
Ru 2.168 2.168 1.305
Ru 2.168 2.168 4.091
```



Diffraction record for SrTaNi2Ru. The powder X-ray diffraction pattern is computed, not measured: it uses a cell relaxed with PBE and Cu Kα (weighted mean of Kα1 and Kα2).

Principal peaks in the range 5° ≤ 2θ ≤ 70°, low angle first:
- 2θ = 18.64°, 4.761 Å, rel. 89
- 2θ = 26.48°, 3.367 Å, rel. 58
- 2θ = 26.60°, 3.351 Å, rel. 53
- 2θ = 32.68°, 2.740 Å, rel. 25
- 2θ = 37.79°, 2.380 Å, rel. 100
- 2θ = 38.16°, 2.358 Å, rel. 49
- 2θ = 42.48°, 2.128 Å, rel. 30
- 2θ = 46.81°, 1.941 Å, rel. 24
- 2θ = 47.05°, 1.931 Å, rel. 25
- 2θ = 54.52°, 1.683 Å, rel. 34
- 2θ = 54.80°, 1.675 Å, rel. 67
- 2θ = 68.49°, 1.370 Å, rel. 34

Atomic structure:
```
5
Lattice="4.761 0.000 0.000 0.000 4.761 0.000 0.000 0.000 4.716" Properties=species:S:1:pos:R:3 pbc="T T T"
Sr 0.000 0.000 0.000
Ta 2.380 2.380 2.358
Ni 0.000 2.380 2.358
Ni 2.380 0.000 2.358
Ru 2.380 2.380 0.000
```



Diffraction record for Tb5NiRu2. The powder X-ray diffraction pattern is computed, not measured: it uses a cell relaxed with PBE and Cu Kα (weighted mean of Kα1 and Kα2).

Principal peaks in the range 5° ≤ 2θ ≤ 70°, low angle first:
- 2θ = 13.53°, 6.546 Å, rel. 10
- 2θ = 27.10°, 3.291 Å, rel. 13
- 2θ = 32.01°, 2.796 Å, rel. 13
- 2θ = 33.40°, 2.683 Å, rel. 100
- 2θ = 36.21°, 2.481 Å, rel. 24
- 2θ = 37.40°, 2.405 Å, rel. 45
- 2θ = 43.62°, 2.075 Å, rel. 13
- 2θ = 53.96°, 1.699 Å, rel. 20
- 2θ = 56.16°, 1.638 Å, rel. 13
- 2θ = 56.99°, 1.616 Å, rel. 9
- 2θ = 58.73°, 1.572 Å, rel. 12
- 2θ = 69.47°, 1.353 Å, rel. 11

Atomic structure:
```
16
Lattice="-3.802 3.802 6.546 3.802 -3.802 6.546 3.802 3.802 -6.546" Properties=species:S:1:pos:R:3 pbc="T T T"
Tb 0.000 0.000 0.000
Tb 5.042 1.240 -1.831
Tb 1.240 2.562 -1.831
Tb 5.042 1.240 1.831
Tb 1.240 2.562 1.831
Tb 0.000 0.000 6.546
Tb 2.562 1.240 4.715
Tb -1.240 2.562 4.715
Tb 2.562 1.240 8.377
Tb -1.240 2.562 8.377
Ni 0.000 0.000 3.273
Ni 0.000 0.000 9.819
Ru 2.748 1.055 0.000
Ru 2.748 -1.055 6.546
Ru 1.055 4.857 0.000
Ru 1.055 2.748 6.546
```



Diffraction record for Tb2Ni2Ru. The powder X-ray diffraction pattern is computed, not measured: it uses a cell relaxed with PBE and Cu Kα (weighted mean of Kα1 and Kα2).

Principal peaks in the range 5° ≤ 2θ ≤ 70°, low angle first:
- 2θ = 27.10°, 3.291 Å, rel. 34
- 2θ = 32.07°, 2.791 Å, rel. 49
- 2θ = 34.56°, 2.595 Å, rel. 50
- 2θ = 35.17°, 2.552 Å, rel. 44
- 2θ = 35.50°, 2.529 Å, rel. 100
- 2θ = 35.71°, 2.514 Å, rel. 32
- 2θ = 37.67°, 2.388 Å, rel. 85
- 2θ = 38.37°, 2.346 Å, rel. 44
- 2θ = 39.87°, 2.261 Å, rel. 47
- 2θ = 40.03°, 2.252 Å, rel. 46
- 2θ = 42.92°, 2.107 Å, rel. 45
- 2θ = 48.44°, 1.879 Å, rel. 37

Atomic structure:
```
10
Lattice="4.396 -2.673 0.000 4.396 2.673 0.000 -1.879 0.000 7.805" Properties=species:S:1:pos:R:3 pbc="T T T"
Tb 1.045 0.679 1.200
Tb 0.105 -0.679 5.103
Tb 6.807 0.679 2.702
Tb 5.867 -0.679 6.605
Ni 2.343 0.654 3.912
Ni 3.283 -0.654 0.009
Ni 3.629 0.654 7.796
Ni 4.569 -0.654 3.893
Ru 3.926 0.787 1.951
Ru 2.986 -0.787 5.854
```



Diffraction record for TbTiNiRu. The powder X-ray diffraction pattern is computed, not measured: it uses a cell relaxed with PBE and Cu Kα (weighted mean of Kα1 and Kα2).

Principal peaks in the range 5° ≤ 2θ ≤ 70°, low angle first:
- 2θ = 23.84°, 3.733 Å, rel. 24
- 2θ = 27.59°, 3.233 Å, rel. 1
- 2θ = 39.42°, 2.286 Å, rel. 100
- 2θ = 46.58°, 1.950 Å, rel. 13
- 2θ = 56.97°, 1.617 Å, rel. 17
- 2θ = 62.62°, 1.483 Å, rel. 5

Atomic structure:
```
4
Lattice="0.000 3.233 3.233 3.233 0.000 3.233 3.233 3.233 0.000" Properties=species:S:1:pos:R:3 pbc="T T T"
Tb 0.000 0.000 0.000
Ti 3.233 3.233 3.233
Ni 1.617 1.617 1.617
Ru 4.850 4.850 4.850
```



Diffraction record for Tc2Ni6Ru. The powder X-ray diffraction pattern is computed, not measured: it uses a cell relaxed with PBE and Cu Kα (weighted mean of Kα1 and Kα2).

Principal peaks in the range 5° ≤ 2θ ≤ 70°, low angle first:
- 2θ = 16.57°, 5.349 Å, rel. 6
- 2θ = 33.51°, 2.674 Å, rel. 2
- 2θ = 35.52°, 2.527 Å, rel. 5
- 2θ = 43.05°, 2.101 Å, rel. 100
- 2θ = 49.57°, 1.839 Å, rel. 33
- 2θ = 51.24°, 1.783 Å, rel. 15
- 2θ = 52.63°, 1.739 Å, rel. 1
- 2θ = 55.63°, 1.652 Å, rel. 1
- 2θ = 61.16°, 1.515 Å, rel. 1

Atomic structure:
```
9
Lattice="0.000 5.349 5.522 1.838 0.000 5.522 1.838 5.349 0.000" Properties=species:S:1:pos:R:3 pbc="T T T"
Tc 1.838 5.349 1.847
Tc 1.838 5.349 9.196
Ni 1.838 3.544 3.679
Ni 1.838 1.816 5.522
Ni 1.838 3.544 7.364
Ni 1.838 7.153 3.679
Ni 1.838 8.882 5.522
Ni 1.838 7.153 7.364
Ru 1.838 5.349 5.522
```